Simulated powder diffractogram of Li2V3P3O12 for Cu Kα (weighted mean of Kα1 and Kα2), from a cell relaxed with PBE+U.

Peak list (10 most intense, 2θ from 10° to 80°, in order of rising 2θ)
19.80 deg, d 4.483, rel. 75, hkl 0 2 0
23.71 deg, d 3.753, rel. 100, hkl 3 1 0
23.85 deg, d 3.730, rel. 50, hkl 1 1 -2
30.74 deg, d 2.909, rel. 17, hkl 2 2 1
32.92 deg, d 2.721, rel. 34, hkl 5 1 -1
33.00 deg, d 2.714, rel. 31, hkl 4 2 -2
33.15 deg, d 2.702, rel. 29, hkl 3 1 -3
34.66 deg, d 2.588, rel. 65, hkl 2 0 2
48.52 deg, d 1.876, rel. 29, hkl 6 2 0
60.93 deg, d 1.520, rel. 16, hkl 6 4 0

a = 14.6155 Å, b = 8.9823 Å, c = 8.5173 Å
α = 90.00°, β = 121.95°, γ = 90.00°
Space group C2 (No. 5)
Symmetry-distinct sites (fractional):
Li1 0.0000 0.0000 0.0000
Li2 0.0000 0.2944 0.5000
Li3 0.2014 0.6898 0.8994
V1 0.0995 0.3909 0.8973
V2 0.1038 0.8879 0.3924
V3 0.2485 0.3892 0.7433
P1 0.0000 0.5955 0.5000
P2 0.0000 0.6987 0.0000
P3 0.1451 0.0363 0.8021
P4 0.1568 0.2358 0.3122
O1 0.0380 0.9968 0.7873
O2 0.0493 0.2838 0.2877
O3 0.0529 0.6932 0.4244
O4 0.0641 0.6099 0.9384
O5 0.0855 0.8108 0.1505
O6 0.0883 0.4879 0.6499
O7 0.1466 0.9748 0.6377
O8 0.1668 0.2089 0.8128
O9 0.1688 0.0609 0.3213
O10 0.1728 0.2787 0.1543
O11 0.2358 0.9733 0.9955
O12 0.2457 0.3031 0.5031